Simulated powder XRD pattern of GdFe5P3 for λ = 1.5418 Å (Cu Kα), from a GGA-PBE-relaxed structure.
Peak positions follow from Bragg's law for the DFT cell and can differ from measured ones.

Crystal structure
```
GdFe5P3
1.0
11.811 0.000 0.000
0.000 3.654 0.000
0.000 0.000 10.268
Gd Fe P
4 20 12
direct
0.203 0.250 0.081
0.297 0.750 0.581
0.703 0.250 0.419
0.797 0.750 0.919
0.010 0.750 0.096
0.012 0.750 0.705
0.067 0.750 0.464
0.175 0.250 0.781
0.201 0.250 0.376
0.299 0.750 0.876
0.325 0.750 0.281
0.433 0.250 0.964
0.488 0.250 0.205
0.490 0.250 0.596
0.510 0.750 0.404
0.512 0.750 0.795
0.567 0.750 0.036
0.675 0.250 0.719
0.701 0.250 0.124
0.799 0.750 0.624
0.825 0.750 0.219
0.933 0.250 0.536
0.988 0.250 0.295
0.990 0.250 0.904
0.103 0.750 0.897
0.112 0.250 0.579
0.129 0.750 0.268
0.371 0.250 0.768
0.388 0.750 0.079
0.397 0.250 0.397
0.603 0.750 0.603
0.612 0.250 0.921
0.629 0.750 0.232
0.871 0.250 0.732
0.888 0.750 0.421
0.897 0.250 0.103
```

Peak list (8 most intense, 10 to 80 degrees two-theta, in order of rising 2θ)
26.97°, 3.305 Å, rel. 12.8; 35.80°, 2.509 Å, rel. 10.4; 37.89°, 2.375 Å, rel. 12.3; 39.18°, 2.299 Å, rel. 100.0; 40.34°, 2.236 Å, rel. 9.6; 49.91°, 1.827 Å, rel. 20.5; 53.71°, 1.706 Å, rel. 13.1; 76.37°, 1.247 Å, rel. 11.1

=====

Simulated powder XRD pattern of NaW2N2Cl6 for λ = 1.5418 Å (Cu Kα), from a GGA-PBE-relaxed structure.
Peak positions follow from Bragg's law for the DFT cell and can differ from measured ones.

Crystal structure
```
NaW2N2Cl6
1.0
-1.881 5.092 6.388
1.881 -5.092 6.388
1.881 5.092 -6.388
Na W N Cl
1 2 2 6
direct
0.000 0.000 0.000
0.336 0.500 0.836
0.664 0.500 0.164
0.360 0.000 0.360
0.640 0.000 0.640
0.041 0.372 0.669
0.296 0.628 0.669
0.354 0.354 0.000
0.646 0.646 0.000
0.704 0.372 0.331
0.959 0.628 0.331
```

Peak list (8 most intense, 10 to 80 degrees two-theta, in order of rising 2θ)
11.11°, 7.964 Å, rel. 64.3; 13.86°, 6.388 Å, rel. 100.0; 24.66°, 3.609 Å, rel. 72.0; 27.18°, 3.281 Å, rel. 18.5; 33.76°, 2.655 Å, rel. 52.3; 38.39°, 2.345 Å, rel. 24.8; 45.86°, 1.979 Å, rel. 34.1; 60.28°, 1.535 Å, rel. 30.3

=====

Simulated powder XRD pattern of PrYNO for λ = 1.5418 Å (Cu Kα), from a GGA-PBE-relaxed structure.
Peak positions follow from Bragg's law for the DFT cell and can differ from measured ones.

Crystal structure
```
PrYNO
1.0
4.084 0.000 0.000
0.000 7.075 0.000
0.000 0.000 5.017
Pr Y N O
2 2 2 2
direct
0.000 0.164 0.000
0.000 0.836 0.500
0.500 0.335 0.500
0.500 0.665 0.000
0.500 0.345 0.999
0.500 0.655 0.499
0.000 0.193 0.500
0.000 0.807 0.000
```

Peak list (8 most intense, 10 to 80 degrees two-theta, in order of rising 2θ)
25.18°, 3.537 Å, rel. 48.9; 30.93°, 2.891 Å, rel. 100.0; 35.79°, 2.509 Å, rel. 25.4; 44.32°, 2.044 Å, rel. 47.0; 55.06°, 1.668 Å, rel. 20.7; 58.26°, 1.584 Å, rel. 34.6; 61.31°, 1.512 Å, rel. 14.9; 73.28°, 1.292 Å, rel. 18.1

=====

Simulated powder XRD pattern of KBa2IrS6 for λ = 1.5418 Å (Cu Kα), from a GGA-PBE-relaxed structure.
Peak positions follow from Bragg's law for the DFT cell and can differ from measured ones.

Crystal structure
```
KBa2IrS6
1.0
3.868 2.233 5.154
-3.868 2.233 5.154
0.000 -4.467 5.154
K Ba Ir S
1 2 1 6
direct
0.000 0.000 0.000
0.254 0.254 0.254
0.746 0.746 0.746
0.499 0.499 0.499
0.190 0.365 0.697
0.306 0.811 0.635
0.365 0.697 0.190
0.635 0.306 0.811
0.697 0.190 0.365
0.811 0.635 0.306
```

Peak list (8 most intense, 10 to 80 degrees two-theta, in order of rising 2θ)
14.41°, 6.148 Å, rel. 63.7; 22.99°, 3.868 Å, rel. 100.0; 26.62°, 3.348 Å, rel. 76.7; 35.46°, 2.532 Å, rel. 66.5; 40.39°, 2.233 Å, rel. 37.0; 42.68°, 2.118 Å, rel. 52.5; 54.83°, 1.674 Å, rel. 38.6; 60.23°, 1.537 Å, rel. 26.5

=====

Simulated powder XRD pattern of Pr2Nd2Se3O4 for λ = 1.5418 Å (Cu Kα), from a GGA-PBE-relaxed structure.
Peak positions follow from Bragg's law for the DFT cell and can differ from measured ones.

Crystal structure
```
Pr2Nd2Se3O4
1.0
8.473 0.000 0.000
0.000 2.017 6.499
0.000 -2.017 6.499
Pr Nd Se O
2 2 3 4
direct
0.000 0.000 0.000
0.500 0.017 0.017
0.237 0.684 0.684
0.763 0.684 0.684
0.000 0.313 0.313
0.351 0.357 0.357
0.649 0.357 0.357
0.000 0.589 0.589
0.244 0.089 0.089
0.500 0.617 0.617
0.756 0.089 0.089
```

Peak list (8 most intense, 10 to 80 degrees two-theta, in order of rising 2θ)
25.09°, 3.549 Å, rel. 54.2; 30.27°, 2.952 Å, rel. 100.0; 31.39°, 2.850 Å, rel. 54.4; 34.79°, 2.579 Å, rel. 28.5; 44.96°, 2.016 Å, rel. 27.3; 46.78°, 1.942 Å, rel. 22.9; 52.16°, 1.753 Å, rel. 14.8; 53.22°, 1.721 Å, rel. 16.8

=====

Simulated powder XRD pattern of Ni15Pb for λ = 1.5418 Å (Cu Kα), from a GGA-PBE-relaxed structure.
Peak positions follow from Bragg's law for the DFT cell and can differ from measured ones.

Crystal structure
```
Ni15Pb
1.0
5.007 0.000 0.000
0.000 2.642 0.000
0.000 0.000 38.929
Ni Pb
30 2
direct
0.000 0.000 0.000
0.000 0.000 0.083
0.000 0.000 0.168
0.000 0.000 0.252
0.000 0.000 0.337
0.000 0.000 0.421
0.000 0.000 0.506
0.250 0.500 0.126
0.250 0.500 0.210
0.250 0.500 0.294
0.250 0.500 0.379
0.250 0.500 0.464
0.250 0.500 0.548
0.250 0.500 0.632
0.254 0.500 0.041
0.500 0.000 0.083
0.500 0.000 0.168
0.500 0.000 0.252
0.500 0.000 0.337
0.500 0.000 0.421
0.500 0.000 0.506
0.504 0.000 0.591
0.746 0.500 0.041
0.750 0.500 0.126
0.750 0.500 0.210
0.750 0.500 0.294
0.750 0.500 0.379
0.750 0.500 0.464
0.750 0.500 0.548
0.996 0.000 0.591
0.500 0.000 0.980
0.750 0.500 0.652
```

Peak list (8 most intense, 10 to 80 degrees two-theta, in order of rising 2θ)
11.37°, 7.786 Å, rel. 21.3; 13.65°, 6.488 Å, rel. 21.4; 42.70°, 2.117 Å, rel. 60.1; 44.21°, 2.049 Å, rel. 76.2; 44.32°, 2.044 Å, rel. 53.8; 45.78°, 1.982 Å, rel. 71.6; 50.21°, 1.817 Å, rel. 100.0; 76.98°, 1.239 Å, rel. 17.9

=====

Simulated powder XRD pattern of AsAu7 for λ = 1.5418 Å (Cu Kα), from a GGA-PBE-relaxed structure.
Peak positions follow from Bragg's law for the DFT cell and can differ from measured ones.

Crystal structure
```
AsAu7
1.0
2.889 0.000 0.000
0.000 3.929 0.000
0.000 0.000 32.620
As Au
2 14
direct
0.250 0.250 0.145
0.750 0.750 0.855
0.250 0.250 0.234
0.250 0.250 0.331
0.250 0.250 0.428
0.250 0.250 0.524
0.250 0.250 0.621
0.250 0.250 0.717
0.250 0.250 0.819
0.750 0.750 0.181
0.750 0.750 0.283
0.750 0.750 0.379
0.750 0.750 0.476
0.750 0.750 0.572
0.750 0.750 0.669
0.750 0.750 0.766
```

Peak list (8 most intense, 10 to 80 degrees two-theta, in order of rising 2θ)
35.78°, 2.510 Å, rel. 100.0; 38.02°, 2.367 Å, rel. 44.5; 38.69°, 2.327 Å, rel. 99.3; 41.77°, 2.163 Å, rel. 65.5; 43.75°, 2.069 Å, rel. 30.1; 46.23°, 1.964 Å, rel. 37.3; 64.04°, 1.454 Å, rel. 37.6; 76.03°, 1.252 Å, rel. 23.5

=====

Simulated powder XRD pattern of NdCd20Pt2 for λ = 1.5418 Å (Cu Kα), from a GGA-PBE-relaxed structure.
Peak positions follow from Bragg's law for the DFT cell and can differ from measured ones.

Crystal structure
```
NdCd20Pt2
1.0
0.000 7.863 7.863
7.863 0.000 7.863
7.863 7.863 0.000
Nd Cd Pt
2 40 4
direct
0.125 0.125 0.125
0.875 0.875 0.875
0.000 0.000 0.000
0.000 0.000 0.500
0.000 0.500 0.000
0.057 0.322 0.322
0.057 0.322 0.799
0.057 0.799 0.322
0.201 0.678 0.678
0.201 0.678 0.943
0.201 0.943 0.678
0.237 0.237 0.513
0.237 0.513 0.237
0.237 0.513 0.513
0.322 0.057 0.322
0.322 0.057 0.799
0.322 0.322 0.057
0.322 0.322 0.799
0.322 0.799 0.057
0.322 0.799 0.322
0.487 0.487 0.763
0.487 0.763 0.487
0.487 0.763 0.763
0.500 0.000 0.000
0.513 0.237 0.237
0.513 0.237 0.513
0.513 0.513 0.237
0.678 0.201 0.678
0.678 0.201 0.943
0.678 0.678 0.201
0.678 0.678 0.943
0.678 0.943 0.201
0.678 0.943 0.678
0.763 0.487 0.487
0.763 0.487 0.763
0.763 0.763 0.487
0.799 0.057 0.322
0.799 0.322 0.057
0.799 0.322 0.322
0.943 0.201 0.678
0.943 0.678 0.201
0.943 0.678 0.678
0.000 0.500 0.500
0.500 0.000 0.500
0.500 0.500 0.000
0.500 0.500 0.500
```

Peak list (8 most intense, 10 to 80 degrees two-theta, in order of rising 2θ)
33.72°, 2.658 Å, rel. 58.0; 36.12°, 2.486 Å, rel. 35.0; 37.50°, 2.398 Å, rel. 79.1; 37.95°, 2.371 Å, rel. 100.0; 39.71°, 2.270 Å, rel. 30.4; 40.99°, 2.202 Å, rel. 37.8; 61.26°, 1.513 Å, rel. 27.6; 67.37°, 1.390 Å, rel. 49.5

=====

Simulated powder XRD pattern of Te2PdPb2Cl2O6 for λ = 1.5418 Å (Cu Kα), from a GGA-PBE-relaxed structure.
Peak positions follow from Bragg's law for the DFT cell and can differ from measured ones.

Crystal structure
```
Te2PdPb2Cl2O6
1.0
8.031 0.000 0.000
0.000 5.502 0.000
-7.249 0.000 10.862
Te Pd Pb Cl O
4 2 4 4 12
direct
0.222 0.002 0.493
0.222 0.498 0.993
0.778 0.502 0.007
0.778 0.998 0.507
0.500 0.000 0.000
0.500 0.500 0.500
0.158 0.034 0.198
0.158 0.466 0.698
0.842 0.534 0.302
0.842 0.966 0.802
0.455 0.585 0.313
0.455 0.915 0.813
0.545 0.085 0.187
0.545 0.415 0.687
0.039 0.241 0.480
0.039 0.259 0.980
0.065 0.649 0.836
0.065 0.851 0.336
0.334 0.199 0.422
0.334 0.301 0.922
0.666 0.699 0.078
0.666 0.801 0.578
0.935 0.149 0.664
0.935 0.351 0.164
0.961 0.741 0.020
0.961 0.759 0.520
```

Peak list (8 most intense, 10 to 80 degrees two-theta, in order of rising 2θ)
19.57°, 4.535 Å, rel. 20.4; 25.06°, 3.553 Å, rel. 53.1; 26.11°, 3.413 Å, rel. 39.4; 28.30°, 3.154 Å, rel. 100.0; 28.63°, 3.118 Å, rel. 26.9; 29.53°, 3.025 Å, rel. 48.2; 32.55°, 2.751 Å, rel. 34.5; 52.03°, 1.758 Å, rel. 22.2

=====

Simulated powder XRD pattern of SbAsAuF9 for λ = 1.5418 Å (Cu Kα), from a GGA-PBE-relaxed structure.
Peak positions follow from Bragg's law for the DFT cell and can differ from measured ones.

Crystal structure
```
SbAsAuF9
1.0
7.462 0.000 0.000
0.000 8.636 0.000
-6.307 0.000 9.994
Sb As Au F
4 4 4 36
direct
0.172 0.169 0.435
0.172 0.331 0.935
0.828 0.669 0.065
0.828 0.831 0.565
0.373 0.620 0.623
0.373 0.880 0.123
0.627 0.120 0.877
0.627 0.380 0.377
0.121 0.700 0.412
0.121 0.800 0.912
0.879 0.200 0.088
0.879 0.300 0.588
0.129 0.690 0.170
0.129 0.810 0.670
0.138 0.526 0.851
0.138 0.974 0.351
0.156 0.237 0.779
0.156 0.263 0.279
0.175 0.126 0.997
0.175 0.374 0.497
0.187 0.076 0.584
0.187 0.424 0.084
0.312 0.522 0.724
0.312 0.978 0.224
0.424 0.005 0.859
0.424 0.495 0.359
0.470 0.172 0.514
0.470 0.328 0.014
0.482 0.237 0.263
0.482 0.263 0.763
0.518 0.737 0.237
0.518 0.763 0.737
0.530 0.672 0.986
0.530 0.828 0.486
0.576 0.505 0.641
0.576 0.995 0.141
0.688 0.022 0.776
0.688 0.478 0.276
0.813 0.576 0.916
0.813 0.924 0.416
0.825 0.626 0.503
0.825 0.874 0.003
0.844 0.737 0.721
0.844 0.763 0.221
0.862 0.026 0.649
0.862 0.474 0.149
0.871 0.190 0.330
0.871 0.310 0.830
```

Peak list (8 most intense, 10 to 80 degrees two-theta, in order of rising 2θ)
14.03°, 6.311 Å, rel. 36.3; 17.75°, 4.997 Å, rel. 25.3; 20.57°, 4.318 Å, rel. 40.2; 23.85°, 3.731 Å, rel. 100.0; 24.01°, 3.707 Å, rel. 75.8; 28.08°, 3.178 Å, rel. 24.3; 30.69°, 2.914 Å, rel. 38.2; 37.21°, 2.417 Å, rel. 24.1